# K2TaReO6
Calculated PXRD pattern, λ = 1.5418 Å (Cu Kα). Input: a PBE-relaxed structure.
Lines closer than 0.1° are merged.

Structural model:
```
data_K2TaReO6
_chemical_formula_sum 'K2 Ta1 Re1 O6'
_cell_length_a 5.641
_cell_length_b 5.641
_cell_length_c 3.977
_cell_angle_alpha 90.00
_cell_angle_beta 90.00
_cell_angle_gamma 90.00
_space_group_name_H-M_alt 'P 4/m m m'
_space_group_IT_number 123
_space_group_name_Hall '-P 4 2'
loop_
_atom_site_label
_atom_site_fract_x
_atom_site_fract_y
_atom_site_fract_z
K1 0.000 0.500 0.000
Ta1 0.000 0.000 0.500
Re1 0.500 0.500 0.500
O1 0.000 0.000 0.000
O2 0.253 0.253 0.500
O3 0.500 0.500 0.000
```

Largest 10 diffraction maxima, by angle, 10 to 80 degrees two-theta:
(1 1 0), 22.31°, 3.985 Å, I 70; (2 0 0), 31.76°, 2.818 Å, I 100; (2 2 0), 45.48°, 1.994 Å, I 21; (0 0 2), 45.63°, 1.988 Å, I 10; (3 1 0), 51.23°, 1.783 Å, I 21; (1 1 2), 51.34°, 1.779 Å, I 10; (3 1 1), 56.58°, 1.627 Å, I 39; (2 2 2), 66.39°, 1.408 Å, I 13; (3 1 2), 70.99°, 1.328 Å, I 8; (4 2 0), 75.37°, 1.261 Å, I 11